Simulated XRD peak list of Li3Mn4SbO8 for Cu Kα X-rays, from a crystal structure in the Materials Project, relaxed with PBE+U.

The 10 most intense peaks (5° ≤ 2θ ≤ 70°), low angle first:
2θ/deg, d [Å], I/Imax
17.2, 5.147, 61
17.5, 5.079, 98
32.9, 2.722, 42
33.8, 2.654, 18
34.6, 2.592, 17
34.9, 2.574, 34
40.0, 2.256, 100
41.7, 2.168, 44
58.6, 1.575, 28
59.6, 1.551, 27

Cell and atoms:
```
Li3Mn4SbO8
1.0
5.3243 -3.1978 0.0000
5.3243 3.1978 0.0000
-3.6947 0.0000 5.1847
Li Mn Sb O
3 4 1 8
Cartesian
0.0000 0.0000 0.0000
0.8148 1.5989 2.5924
0.8148 -1.5989 2.5924
-1.8474 0.0000 2.5924
2.6621 1.5989 0.0000
2.6621 -1.5989 0.0000
5.3243 0.0000 0.0000
3.4769 0.0000 2.5924
-0.1699 0.0000 3.9684
1.8484 0.0000 1.3830
2.5972 1.4576 3.7499
4.3567 1.4576 1.4348
2.5972 -1.4576 3.7499
4.3567 -1.4576 1.4348
5.1054 0.0000 3.8017
7.1237 0.0000 1.2163
```